Computed X-ray diffraction stick pattern
Compound: CsTlClF2
Radiation: Cu Kα, 1.54184 Å
Structure: a crystal structure in Alexandria, relaxed with GGA-PBE
Lines closer than 0.1° are merged.

Principal peaks in the range 2θ = 5–70°, by angle:
d = 4.866 Å, I 13.2; d = 3.653 Å, I 100.0; d = 3.441 Å, I 53.7; d = 2.765 Å, I 23.6; d = 2.433 Å, I 32.7; d = 2.155 Å, I 29.9; d = 2.025 Å, I 40.9; d = 1.827 Å, I 27.0; d = 1.406 Å, I 13.0; d = 1.345 Å, I 13.7

Atomic structure:
a = 4.866 Å, b = 4.866 Å, c = 5.529 Å
α = 90.00°, β = 90.00°, γ = 90.00°
Space group P4/mmm (No. 123)
One atom of each set of equivalent atoms:
Cs  0.000  0.000  0.000
Tl  0.500  0.500  0.500
Cl  0.500  0.500  0.000
F  0.000  0.500  0.500